Simulated powder diffractogram of Li2CrFeO4 for Cu Kα X-rays, from a cell relaxed with PBE+U.
Neutral-atom scattering factors, no anomalous dispersion.

Atomic structure:
```
Li2CrFeO4
1.0
5.106 -2.924 0.000
5.106 2.924 0.000
-1.680 0.000 4.785
Li Cr Fe O
4 2 2 8
Direct
0.123 0.373 0.243
0.373 0.123 0.743
0.627 0.877 0.257
0.877 0.627 0.757
0.372 0.628 0.750
0.628 0.372 0.250
0.124 0.876 0.250
0.876 0.124 0.750
0.009 0.768 0.506
0.232 0.991 0.994
0.259 0.516 0.011
0.484 0.741 0.489
0.516 0.259 0.511
0.741 0.484 0.989
0.768 0.009 0.006
0.991 0.232 0.494
```

Largest 12 diffraction maxima, by angle, 15° ≤ 2θ ≤ 90°:
18.42°, d = 4.817 Å, intensity 100; 35.99°, d = 2.496 Å, intensity 40; 37.33°, d = 2.409 Å, intensity 4; 37.62°, d = 2.391 Å, intensity 12; 43.63°, d = 2.074 Å, intensity 77; 47.73°, d = 1.905 Å, intensity 12; 57.59°, d = 1.601 Å, intensity 14; 63.22°, d = 1.471 Å, intensity 20; 63.60°, d = 1.463 Å, intensity 21; 66.84°, d = 1.400 Å, intensity 14; 80.31°, d = 1.196 Å, intensity 9; 82.75°, d = 1.166 Å, intensity 5